1.
Starting from a structure optimized by DFT (GGA-PBE), the powder X-ray diffraction pattern of Sn4Pd5Au was simulated for CuKα.
Lines closer than 0.1° are merged.

Top 10 peaks for 2θ = 10–80°, sorted by position:
28.14°, I = 18; 33.14°, I = 18; 35.13°, I = 19; 38.90°, I = 100; 39.24°, I = 16; 40.11°, I = 15; 41.91°, I = 24; 42.73°, I = 19; 50.59°, I = 18; 67.73°, I = 12

Structural model:
Lattice parameters (Å, degrees): 7.8784 7.8784 7.8784 153.52 113.66 72.76
Fractional coordinates of all 10 atoms:
1 Sn 0.2416 0.2416 0.0000
2 Sn 0.2430 0.0000 0.2430
3 Sn 0.7570 0.0000 0.7570
4 Sn 0.7584 0.7584 0.0000
5 Pd 0.0000 0.5000 0.5000
6 Pd 0.0514 0.3358 0.7156
7 Pd 0.3798 0.6642 0.7156
8 Pd 0.6202 0.3358 0.2844
9 Pd 0.9486 0.6642 0.2844
10 Au 0.5000 0.5000 0.0000

---

2.
Starting from a structure optimized by DFT (GGA-PBE), the powder X-ray diffraction pattern of SnPd8Au2 was simulated for CuKα.
Lines closer than 0.1° are merged.

Top 10 peaks for 2θ = 10–80°, sorted by position:
21.88°, I = 18; 39.49°, I = 100; 39.97°, I = 87; 40.91°, I = 46; 41.94°, I = 39; 54.79°, I = 17; 60.03°, I = 27; 70.61°, I = 24; 73.55°, I = 16; 73.87°, I = 14

Structural model:
Lattice parameters (Å, degrees): 6.7031 6.7031 4.4119 90.00 90.00 105.42
Fractional coordinates of all 11 atoms:
1 Sn 0.0000 0.0000 0.0000
2 Pd 0.0354 0.2994 0.5000
3 Pd 0.2418 0.7582 0.0000
4 Pd 0.2994 0.0354 0.5000
5 Pd 0.3292 0.3292 0.0000
6 Pd 0.6708 0.6708 0.0000
7 Pd 0.7006 0.9646 0.5000
8 Pd 0.7582 0.2418 0.0000
9 Pd 0.9646 0.7006 0.5000
10 Au 0.3749 0.6251 0.5000
11 Au 0.6251 0.3749 0.5000

---

3.
Starting from a structure optimized by DFT (GGA-PBE), the powder X-ray diffraction pattern of Sn5Pd3Au was simulated for CuKα.
Lines closer than 0.1° are merged.

Top 10 peaks for 2θ = 10–80°, sorted by position:
19.38°, I = 63; 26.70°, I = 31; 30.70°, I = 29; 32.65°, I = 40; 33.74°, I = 100; 36.87°, I = 27; 39.35°, I = 66; 39.89°, I = 38; 41.98°, I = 41; 49.16°, I = 31

Structural model:
Lattice parameters (Å, degrees): 7.4974 7.4974 9.7882 116.84 116.84 75.31
Fractional coordinates of all 18 atoms:
1 Sn 0.1432 0.6861 0.5949
2 Sn 0.2159 0.7841 0.0000
3 Sn 0.2566 0.2566 0.9629
4 Sn 0.2939 0.2939 0.3555
5 Sn 0.3139 0.8568 0.4051
6 Sn 0.6861 0.1432 0.5949
7 Sn 0.7061 0.7061 0.6445
8 Sn 0.7434 0.7434 0.0371
9 Sn 0.7841 0.2159 0.0000
10 Sn 0.8568 0.3139 0.4051
11 Pd 0.0000 0.0000 0.5000
12 Pd 0.0163 0.0163 0.1960
13 Pd 0.4755 0.4755 0.2840
14 Pd 0.5000 0.5000 0.0000
15 Pd 0.5245 0.5245 0.7160
16 Pd 0.9837 0.9837 0.8040
17 Au 0.2744 0.2744 0.6802
18 Au 0.7256 0.7256 0.3198

---

4.
Starting from a structure optimized by DFT (GGA-PBE), the powder X-ray diffraction pattern of Sn4Pd15Au was simulated for CuKα.
Lines closer than 0.1° are merged.

Top 9 peaks for 2θ = 10–80°, sorted by position:
22.00°, I = 1; 31.37°, I = 1; 38.67°, I = 100; 44.87°, I = 33; 45.11°, I = 16; 65.33°, I = 11; 65.52°, I = 21; 78.57°, I = 25; 78.92°, I = 12

Structural model:
Lattice parameters (Å, degrees): 4.0399 4.0399 20.0975 90.00 90.00 90.00
Fractional coordinates of all 20 atoms:
1 Sn 0.0000 0.0000 0.1007
2 Sn 0.0000 0.0000 0.3032
3 Sn 0.0000 0.0000 0.6968
4 Sn 0.0000 0.0000 0.8993
5 Pd 0.0000 0.5000 0.0000
6 Pd 0.0000 0.5000 0.2008
7 Pd 0.0000 0.5000 0.3998
8 Pd 0.0000 0.5000 0.6002
9 Pd 0.0000 0.5000 0.7992
10 Pd 0.5000 0.0000 0.0000
11 Pd 0.5000 0.0000 0.2008
12 Pd 0.5000 0.0000 0.3998
13 Pd 0.5000 0.0000 0.6002
14 Pd 0.5000 0.0000 0.7992
15 Pd 0.5000 0.5000 0.1002
16 Pd 0.5000 0.5000 0.2995
17 Pd 0.5000 0.5000 0.5000
18 Pd 0.5000 0.5000 0.7005
19 Pd 0.5000 0.5000 0.8998
20 Au 0.0000 0.0000 0.5000

---

5.
Starting from a structure optimized by DFT (GGA-PBE), the powder X-ray diffraction pattern of SnPd4Au2 was simulated for CuKα.
Lines closer than 0.1° are merged.

Top 10 peaks for 2θ = 10–80°, sorted by position:
38.10°, I = 100; 38.27°, I = 97; 38.41°, I = 95; 38.56°, I = 93; 43.23°, I = 66; 43.71°, I = 65; 46.68°, I = 54; 63.38°, I = 22; 65.49°, I = 56; 76.25°, I = 23

Structural model:
Lattice parameters (Å, degrees): 5.7173 6.5686 7.0670 111.67 92.96 104.16
Fractional coordinates of all 14 atoms:
1 Sn 0.0000 0.0000 0.0000
2 Sn 0.1843 0.5273 0.8388
3 Pd 0.0786 0.2711 0.4204
4 Pd 0.2124 0.8343 0.2542
5 Pd 0.3080 0.1242 0.6986
6 Pd 0.3587 0.4050 0.1271
7 Pd 0.4913 0.9683 0.9770
8 Pd 0.6855 0.5630 0.8379
9 Pd 0.7171 0.8418 0.2647
10 Pd 0.8054 0.1247 0.7053
11 Au 0.4430 0.7000 0.5456
12 Au 0.5757 0.2574 0.4139
13 Au 0.8480 0.4123 0.1291
14 Au 0.9452 0.7040 0.5506

---

6.
Starting from a structure optimized by DFT (GGA-PBE), the powder X-ray diffraction pattern of Sn7Pd4Au was simulated for CuKα.
Lines closer than 0.1° are merged.

Top 10 peaks for 2θ = 10–80°, sorted by position:
25.85°, I = 21; 27.81°, I = 24; 30.03°, I = 26; 32.76°, I = 29; 34.14°, I = 100; 38.22°, I = 71; 38.43°, I = 56; 39.44°, I = 49; 40.07°, I = 29; 53.13°, I = 43

Structural model:
Lattice parameters (Å, degrees): 7.2850 7.2850 9.6647 125.61 125.61 42.27
Fractional coordinates of all 12 atoms:
1 Sn 0.0000 0.0000 0.0000
2 Sn 0.1648 0.1648 0.6025
3 Sn 0.2796 0.2796 0.1339
4 Sn 0.4408 0.4408 0.6697
5 Sn 0.5592 0.5592 0.3303
6 Sn 0.7204 0.7204 0.8661
7 Sn 0.8352 0.8352 0.3975
8 Pd 0.0615 0.0615 0.7677
9 Pd 0.2058 0.2058 0.3530
10 Pd 0.7942 0.7942 0.6470
11 Pd 0.9385 0.9385 0.2323
12 Au 0.5000 0.5000 0.0000